Diffraction record for ZnRu2WSe. The powder diffractogram is calculated, not measured: it uses a crystal structure in Alexandria, relaxed with PBE and Cu Kα, 1.54184 Å.

Structural model:
Cell: 4.517 4.517 4.438 Å, 90.00 90.00 90.00°
Space group P4/mmm (No. 123)
Symmetry-distinct sites (fractional):
Zn 0.000 0.000 0.000 [1 per cell]
Ru 0.000 0.500 0.000 [2 per cell]
W 0.500 0.500 0.500 [1 per cell]
Se 0.000 0.000 0.500 [1 per cell]

Peak list (10 most intense, 2θ = 10–90°, low angle first)
2θ 28.2, d = 3.165 Å, I 32
2θ 34.6, d = 2.592 Å, I 100
2θ 39.9, d = 2.258 Å, I 62
2θ 40.7, d = 2.219 Å, I 30
2θ 49.6, d = 1.838 Å, I 14
2θ 57.7, d = 1.597 Å, I 21
2θ 58.3, d = 1.583 Å, I 41
2θ 69.1, d = 1.360 Å, I 27
2θ 70.1, d = 1.342 Å, I 13
2θ 73.0, d = 1.296 Å, I 21